No. 1
Structure and computed powder XRD pattern of HoFe4Cu3O12 (a structure optimized by DFT (GGA+U); Cu Kα (weighted mean of Kα1 and Kα2)).
Lines closer than 0.1° are merged.

Cell and atoms:
Cell: 7.4602 7.4602 7.4602 Å, 90.00 90.00 90.00°
Space group Im-3 (No. 204)
One atom of each set of equivalent atoms:
Ho 0.0000 0.0000 0.0000 (multiplicity 2)
Fe 0.2500 0.2500 0.2500 (multiplicity 8)
Cu 0.0000 0.0000 0.5000 (multiplicity 6)
O 0.0000 0.1642 0.3072 (multiplicity 24)

The 12 most intense peaks (10° ≤ 2θ ≤ 80°), low angle first:
2θ = 16.81°, I = 15, hkl 1 1 0; 2θ = 23.86°, I = 5, hkl 2 0 0; 2θ = 29.33°, I = 4, hkl 2 1 1; 2θ = 33.99°, I = 100, hkl 2 2 0; 2θ = 38.15°, I = 11, hkl 3 1 0; 2θ = 41.95°, I = 5, hkl 2 2 2; 2θ = 45.49°, I = 11, hkl 3 2 1; 2θ = 48.83°, I = 24, hkl 4 0 0; 2θ = 60.83°, I = 47, hkl 4 2 2; 2θ = 63.60°, I = 3, hkl 4 1 3; 2θ = 71.54°, I = 12, hkl 4 4 0; 2θ = 79.14°, I = 3, hkl 5 3 2

No. 2
Structure and computed powder XRD pattern of MgVCr2Fe3P6O24 (a structure optimized by DFT (GGA+U); Cu Kα (weighted mean of Kα1 and Kα2)).
Lines closer than 0.1° are merged.

Cell and atoms:
Cell: 8.6906 8.6940 8.7353 Å, 87.35 60.52 60.31°
Space group P1 (No. 1)
One atom of each set of equivalent atoms:
Mg 0.0000 0.0000 0.0000 (multiplicity 1)
V 0.2614 0.6330 0.8526 (multiplicity 1)
Cr 0.7497 0.3931 0.1188 (multiplicity 1)
Cr 0.7841 0.8566 0.5919 (multiplicity 1)
Fe 0.0619 0.4282 0.4560 (multiplicity 1)
Fe 0.4534 0.8288 0.2646 (multiplicity 1)
Fe 0.5091 0.2581 0.7319 (multiplicity 1)
P 0.2404 0.1447 0.0794 (multiplicity 1)
P 0.2759 0.6167 0.1499 (multiplicity 1)
P 0.5446 0.1329 0.3625 (multiplicity 1)
P 0.5642 0.6361 0.5599 (multiplicity 1)
P 0.9590 0.6267 0.8596 (multiplicity 1)
P 0.9760 0.1148 0.6436 (multiplicity 1)
O 0.0542 0.1794 0.0665 (multiplicity 1)
O 0.1077 0.6216 0.3326 (multiplicity 1)
O 0.1598 0.3088 0.2181 (multiplicity 1)
O 0.1618 0.7875 0.0885 (multiplicity 1)
O 0.1860 0.4608 0.8055 (multiplicity 1)
O 0.1883 0.9447 0.4989 (multiplicity 1)
O 0.3215 0.3025 0.4501 (multiplicity 1)
O 0.3415 0.9619 0.1248 (multiplicity 1)
O 0.3525 0.7965 0.7250 (multiplicity 1)
O 0.3857 0.4575 0.9810 (multiplicity 1)
O 0.4208 0.1212 0.8861 (multiplicity 1)
O 0.4485 0.6076 0.1672 (multiplicity 1)
O 0.5550 0.4641 0.6229 (multiplicity 1)
O 0.5744 0.9606 0.2816 (multiplicity 1)
O 0.5798 0.6316 0.3783 (multiplicity 1)
O 0.5960 0.0880 0.5168 (multiplicity 1)
O 0.7027 0.1762 0.2145 (multiplicity 1)
O 0.7465 0.6417 0.5425 (multiplicity 1)
O 0.7896 0.6081 0.0202 (multiplicity 1)
O 0.8040 0.0825 0.6560 (multiplicity 1)
O 0.9370 0.6445 0.6942 (multiplicity 1)
O 0.9390 0.1385 0.8327 (multiplicity 1)
O 0.9427 0.2927 0.5864 (multiplicity 1)
O 0.9638 0.7929 0.9162 (multiplicity 1)

The 12 most intense peaks (10° ≤ 2θ ≤ 80°), low angle first:
2θ = 20.32°, I = 100, hkl 1 1 -1; 2θ = 20.44°, I = 41, hkl 2 1 1; 2θ = 22.95°, I = 26, hkl 1 0 -1; 2θ = 23.12°, I = 38, hkl 1 1 2; 2θ = 23.76°, I = 32, hkl 2 0 1; 2θ = 23.91°, I = 22, hkl 2 2 1; 2θ = 24.43°, I = 56, hkl 1 2 -1; 2θ = 31.92°, I = 14, hkl 2 -1 1; 2θ = 33.03°, I = 14, hkl 1 -2 2; 2θ = 35.52°, I = 19, hkl 0 1 -3; 2θ = 35.64°, I = 20, hkl 3 2 0; 2θ = 35.81°, I = 20, hkl 3 1 3